(1)
Structure and calculated X-ray powder pattern of Ho3ScSe4 (a DFT-relaxed cell (PBE, Alexandria); Cu Ka).
Intensities are scaled so that the largest is 1000.

Structure:
Unit cell a=6.9753 b=6.9753 c=3.9789 alpha=90.00 beta=90.00 gamma=109.02
Fractional positions:
Ho: 0.0000 0.0000 0.0000
Ho: 0.0000 0.5000 0.5000
Ho: 0.5000 0.0000 0.5000
Sc: 0.5000 0.5000 0.0000
Se: 0.2544 0.7456 0.0000
Se: 0.2587 0.2587 0.5000
Se: 0.7413 0.7413 0.5000
Se: 0.7456 0.2544 0.0000

Most intense lines, 10 to 90 degrees two-theta, in order of rising 2θ:
| Position (°2θ) | d/Å | I/Imax |
| --- | --- | --- |
| 31.5 | 2.839 | 1000 |
| 44.8 | 2.025 | 125 |
| 45.2 | 2.007 | 488 |
| 45.6 | 1.989 | 119 |
| 55.8 | 1.649 | 129 |
| 56.5 | 1.629 | 125 |
| 65.8 | 1.419 | 118 |
| 74.8 | 1.270 | 216 |
| 82.8 | 1.166 | 82 |
| 84.0 | 1.152 | 83 |

(2)
Structure and calculated X-ray powder pattern of TlCu2AsCl6 (a DFT-relaxed cell (PBE, Alexandria); Cu Ka).
Intensities are scaled so that the largest is 1000.

Structure:
Unit cell a=6.7901 b=6.7989 c=8.0229 alpha=65.09 beta=65.28 gamma=60.17
Fractional positions:
Tl: 0.0000 0.0000 0.0000
Cu: 0.2311 0.2284 0.3077
Cu: 0.7689 0.7716 0.6923
As: 0.5000 0.5000 0.5000
Cl: 0.1114 0.7185 0.7104
Cl: 0.2808 0.5377 0.2890
Cl: 0.4604 0.1107 0.7125
Cl: 0.5396 0.8893 0.2875
Cl: 0.7192 0.4623 0.7110
Cl: 0.8886 0.2815 0.2896

Most intense lines, 10 to 90 degrees two-theta, in order of rising 2θ:
| Position (°2θ) | d/Å | I/Imax |
| --- | --- | --- |
| 17.3 | 5.139 | 323 |
| 22.6 | 3.929 | 1000 |
| 22.7 | 3.913 | 500 |
| 26.0 | 3.425 | 327 |
| 26.2 | 3.400 | 585 |
| 29.2 | 3.061 | 244 |
| 34.9 | 2.572 | 251 |
| 44.1 | 2.053 | 336 |
| 46.2 | 1.967 | 265 |
| 46.3 | 1.962 | 369 |

(3)
Structure and calculated X-ray powder pattern of Ca2Tl2Pd3 (a DFT-relaxed cell (PBE, Alexandria); Cu Ka).
Intensities are scaled so that the largest is 1000.

Structure:
Unit cell a=4.7169 b=5.3235 c=7.1680 alpha=97.54 beta=108.96 gamma=90.22
Fractional positions:
Ca: 0.1410 0.1173 0.2788
Ca: 0.8590 0.8827 0.7212
Tl: 0.3885 0.3512 0.7786
Tl: 0.6115 0.6488 0.2214
Pd: 0.0000 0.5000 0.0000
Pd: 0.2228 0.6394 0.4448
Pd: 0.7772 0.3606 0.5552

Most intense lines, 10 to 90 degrees two-theta, in order of rising 2θ:
| Position (°2θ) | d/Å | I/Imax |
| --- | --- | --- |
| 16.8 | 5.271 | 1000 |
| 19.9 | 4.459 | 527 |
| 33.9 | 2.647 | 897 |
| 34.8 | 2.579 | 406 |
| 38.2 | 2.358 | 482 |
| 38.5 | 2.337 | 279 |
| 38.7 | 2.330 | 277 |
| 40.2 | 2.242 | 352 |
| 40.4 | 2.232 | 345 |
| 46.5 | 1.951 | 245 |

(4)
Structure and calculated X-ray powder pattern of LaOsAu3 (a DFT-relaxed cell (PBE, Alexandria); Cu Ka).
Intensities are scaled so that the largest is 1000.

Structure:
Unit cell a=5.0322 b=5.0322 c=5.0322 alpha=90.00 beta=90.00 gamma=90.00
Fractional positions:
La: 0.0000 0.0000 0.0000
Os: 0.5000 0.5000 0.5000
Au: 0.0000 0.5000 0.5000
Au: 0.5000 0.0000 0.5000
Au: 0.5000 0.5000 0.0000

Most intense lines, 10 to 90 degrees two-theta, in order of rising 2θ:
| Position (°2θ) | d/Å | I/Imax |
| --- | --- | --- |
| 17.6 | 5.032 | 398 |
| 30.8 | 2.905 | 694 |
| 35.7 | 2.516 | 1000 |
| 40.1 | 2.250 | 214 |
| 51.4 | 1.779 | 718 |
| 61.1 | 1.517 | 302 |
| 64.1 | 1.453 | 247 |
| 75.6 | 1.258 | 116 |
| 83.8 | 1.154 | 129 |
| 86.5 | 1.125 | 342 |

Which formula does entry 2 have?
TlCu2AsCl6